(1)
Diffraction record for TmAlPd. The powder X-ray diffraction pattern is computed, not measured: it uses DFT lattice parameters and positions (PBE) and CuKα.
Kinematic intensities with the Lorentz-polarization factor, no thermal factor.

Top 6 peaks for 2θ = 10–80°, by intensity:
2θ (°)	Rel. int.	h k l
35.21	100	2 1 1
33.49	59	1 1 2
41.00	33	0 2 0
26.70	24	1 1 1
37.23	24	1 0 3
46.25	17	3 0 2

a = 6.833 Å, b = 4.403 Å, c = 7.744 Å
α = 90.00°, β = 90.00°, γ = 90.00°
Fractional positions:
Tm1 0.032 0.250 0.179
Tm2 0.468 0.750 0.679
Tm3 0.532 0.250 0.321
Tm4 0.968 0.750 0.821
Al1 0.143 0.250 0.560
Al2 0.357 0.750 0.060
Al3 0.643 0.250 0.940
Al4 0.857 0.750 0.440
Pd1 0.230 0.750 0.378
Pd2 0.270 0.250 0.878
Pd3 0.730 0.750 0.122
Pd4 0.770 0.250 0.622

(2)
Diffraction record for UAl2Pd5. The powder X-ray diffraction pattern is computed, not measured: it uses DFT lattice parameters and positions (PBE) and CuKα.
Kinematic intensities with the Lorentz-polarization factor, no thermal factor.

Top 6 peaks for 2θ = 10–80°, by intensity:
2θ (°)	Rel. int.	h k l
38.84	100	1 1 4
43.15	42	2 0 0
32.51	39	1 1 2
76.22	28	3 1 4
11.89	21	0 0 2
57.56	17	2 0 6

a = 4.193 Å, b = 4.193 Å, c = 14.884 Å
α = 90.00°, β = 90.00°, γ = 90.00°
Fractional positions:
U1 0.000 0.000 0.000
U2 0.500 0.500 0.500
Al1 0.000 0.000 0.254
Al2 0.000 0.000 0.746
Al3 0.500 0.500 0.246
Al4 0.500 0.500 0.754
Pd1 0.000 0.000 0.500
Pd2 0.000 0.500 0.144
Pd3 0.000 0.500 0.356
Pd4 0.000 0.500 0.644
Pd5 0.000 0.500 0.856
Pd6 0.500 0.000 0.144
Pd7 0.500 0.000 0.356
Pd8 0.500 0.000 0.644
Pd9 0.500 0.000 0.856
Pd10 0.500 0.500 0.000

(3)
Diffraction record for PmAl3. The powder X-ray diffraction pattern is computed, not measured: it uses DFT lattice parameters and positions (PBE) and CuKα.
Kinematic intensities with the Lorentz-polarization factor, no thermal factor.

Top 6 peaks for 2θ = 10–80°, by intensity:
2θ (°)	Rel. int.	h k l
37.63	100	2 0 1
24.98	98	1 0 1
27.68	48	1 1 0
32.07	25	2 0 0
47.34	24	2 1 1
15.88	22	1 0 0

a = 6.446 Å, b = 6.446 Å, c = 4.631 Å
α = 90.00°, β = 90.00°, γ = 120.00°
Fractional positions:
Pm1 0.333 0.667 0.250
Pm2 0.667 0.333 0.750
Al1 0.143 0.286 0.750
Al2 0.143 0.857 0.750
Al3 0.286 0.143 0.250
Al4 0.714 0.857 0.750
Al5 0.857 0.143 0.250
Al6 0.857 0.714 0.250

(4)
Diffraction record for PmYAl2. The powder X-ray diffraction pattern is computed, not measured: it uses DFT lattice parameters and positions (PBE) and CuKα.
Kinematic intensities with the Lorentz-polarization factor, no thermal factor.

Top 6 peaks for 2θ = 10–80°, by intensity:
2θ (°)	Rel. int.	h k l
34.72	100	2 2 0
24.36	49	2 0 0
62.24	36	4 2 2
56.30	20	4 2 0
49.92	18	4 0 0
42.87	15	2 2 2

a = 7.308 Å, b = 7.308 Å, c = 7.308 Å
α = 90.00°, β = 90.00°, γ = 90.00°
Fractional positions:
Pm1 0.000 0.000 0.000
Pm2 0.000 0.500 0.500
Pm3 0.500 0.000 0.500
Pm4 0.500 0.500 0.000
Y1 0.000 0.000 0.500
Y2 0.000 0.500 0.000
Y3 0.500 0.000 0.000
Y4 0.500 0.500 0.500
Al1 0.250 0.250 0.250
Al2 0.250 0.250 0.750
Al3 0.250 0.750 0.250
Al4 0.250 0.750 0.750
Al5 0.750 0.250 0.250
Al6 0.750 0.250 0.750
Al7 0.750 0.750 0.250
Al8 0.750 0.750 0.750

(5)
Diffraction record for Pm2AlZn. The powder X-ray diffraction pattern is computed, not measured: it uses DFT lattice parameters and positions (PBE) and CuKα.
Kinematic intensities with the Lorentz-polarization factor, no thermal factor.

Top 6 peaks for 2θ = 10–80°, by intensity:
2θ (°)	Rel. int.	h k l
34.37	100	2 2 0
61.56	36	4 2 2
24.12	30	2 0 0
49.39	18	4 0 0
55.70	13	4 2 0
72.44	11	4 4 0

a = 7.381 Å, b = 7.381 Å, c = 7.381 Å
α = 90.00°, β = 90.00°, γ = 90.00°
Fractional positions:
Pm1 0.250 0.250 0.250
Pm2 0.250 0.250 0.750
Pm3 0.250 0.750 0.250
Pm4 0.250 0.750 0.750
Pm5 0.750 0.250 0.250
Pm6 0.750 0.250 0.750
Pm7 0.750 0.750 0.250
Pm8 0.750 0.750 0.750
Al1 0.000 0.000 0.000
Al2 0.000 0.500 0.500
Al3 0.500 0.000 0.500
Al4 0.500 0.500 0.000
Zn1 0.000 0.000 0.500
Zn2 0.000 0.500 0.000
Zn3 0.500 0.000 0.000
Zn4 0.500 0.500 0.500

(6)
Diffraction record for PrAl3. The powder X-ray diffraction pattern is computed, not measured: it uses DFT lattice parameters and positions (PBE) and CuKα.
Kinematic intensities with the Lorentz-polarization factor, no thermal factor.

Top 6 peaks for 2θ = 10–80°, by intensity:
2θ (°)	Rel. int.	h k l
37.17	100	2 0 1
24.74	96	1 0 1
27.31	48	1 1 0
31.63	25	2 0 0
46.73	23	2 1 1
38.60	22	0 0 2

a = 6.532 Å, b = 6.532 Å, c = 4.665 Å
α = 90.00°, β = 90.00°, γ = 120.00°
Fractional positions:
Pr1 0.333 0.667 0.250
Pr2 0.667 0.333 0.750
Al1 0.140 0.280 0.750
Al2 0.140 0.860 0.750
Al3 0.280 0.140 0.250
Al4 0.720 0.860 0.750
Al5 0.860 0.140 0.250
Al6 0.860 0.720 0.250

(7)
Diffraction record for Pr3Al. The powder X-ray diffraction pattern is computed, not measured: it uses DFT lattice parameters and positions (PBE) and CuKα.
Kinematic intensities with the Lorentz-polarization factor, no thermal factor.

Top 6 peaks for 2θ = 10–80°, by intensity:
2θ (°)	Rel. int.	h k l
33.21	100	2 0 1
21.66	29	1 0 1
28.80	24	2 0 0
32.73	24	0 0 2
61.95	20	2 2 2
58.73	19	2 0 3

a = 7.160 Å, b = 7.160 Å, c = 5.473 Å
α = 90.00°, β = 90.00°, γ = 120.00°
Fractional positions:
Pr1 0.178 0.357 0.250
Pr2 0.178 0.822 0.250
Pr3 0.357 0.178 0.750
Pr4 0.643 0.822 0.250
Pr5 0.822 0.178 0.750
Pr6 0.822 0.643 0.750
Al1 0.333 0.667 0.750
Al2 0.667 0.333 0.250

(8)
Diffraction record for PrAl. The powder X-ray diffraction pattern is computed, not measured: it uses DFT lattice parameters and positions (PBE) and CuKα.
Kinematic intensities with the Lorentz-polarization factor, no thermal factor.

Top 6 peaks for 2θ = 10–80°, by intensity:
2θ (°)	Rel. int.	h k l
31.14	100	1 3 1
34.35	88	2 1 1
30.74	48	0 0 2
26.07	36	1 2 1
37.54	34	1 2 2
21.02	30	1 2 0

a = 6.030 Å, b = 11.844 Å, c = 5.816 Å
α = 90.00°, β = 90.00°, γ = 90.00°
Fractional positions:
Pr1 0.096 0.165 0.250
Pr2 0.096 0.335 0.750
Pr3 0.334 0.012 0.750
Pr4 0.334 0.488 0.250
Pr5 0.666 0.512 0.750
Pr6 0.666 0.988 0.250
Pr7 0.904 0.665 0.250
Pr8 0.904 0.835 0.750
Al1 0.168 0.603 0.750
Al2 0.168 0.897 0.250
Al3 0.427 0.750 0.000
Al4 0.427 0.750 0.500
Al5 0.573 0.250 0.000
Al6 0.573 0.250 0.500
Al7 0.832 0.103 0.750
Al8 0.832 0.397 0.250

(9)
Diffraction record for Pr3Al. The powder X-ray diffraction pattern is computed, not measured: it uses DFT lattice parameters and positions (PBE) and CuKα.
Kinematic intensities with the Lorentz-polarization factor, no thermal factor.

Top 6 peaks for 2θ = 10–80°, by intensity:
2θ (°)	Rel. int.	h k l
31.42	100	1 1 1
36.44	50	2 0 0
62.46	42	3 1 1
52.48	35	2 2 0
17.99	18	1 0 0
25.54	16	1 1 0

a = 4.932 Å, b = 4.932 Å, c = 4.932 Å
α = 90.00°, β = 90.00°, γ = 90.00°
Fractional positions:
Pr1 0.000 0.000 0.500
Pr2 0.000 0.500 0.000
Pr3 0.500 0.000 0.000
Al1 0.500 0.500 0.500

(10)
Diffraction record for PrAl. The powder X-ray diffraction pattern is computed, not measured: it uses DFT lattice parameters and positions (PBE) and CuKα.
Kinematic intensities with the Lorentz-polarization factor, no thermal factor.

Top 6 peaks for 2θ = 10–80°, by intensity:
2θ (°)	Rel. int.	h k l
34.75	100	3 1 1
27.90	79	0 2 1
31.00	70	0 0 2
33.97	53	2 2 1
57.63	31	3 1 3
21.49	29	1 1 1

a = 9.347 Å, b = 7.686 Å, c = 5.765 Å
α = 90.00°, β = 90.00°, γ = 90.00°
Fractional positions:
Pr1 0.180 0.159 0.250
Pr2 0.180 0.841 0.750
Pr3 0.320 0.341 0.750
Pr4 0.320 0.659 0.250
Pr5 0.680 0.341 0.750
Pr6 0.680 0.659 0.250
Pr7 0.820 0.159 0.250
Pr8 0.820 0.841 0.750
Al1 0.000 0.198 0.750
Al2 0.000 0.500 0.000
Al3 0.000 0.500 0.500
Al4 0.000 0.802 0.250
Al5 0.500 0.000 0.000
Al6 0.500 0.000 0.500
Al7 0.500 0.302 0.250
Al8 0.500 0.698 0.750

(11)
Diffraction record for PrAl. The powder X-ray diffraction pattern is computed, not measured: it uses DFT lattice parameters and positions (PBE) and CuKα.
Kinematic intensities with the Lorentz-polarization factor, no thermal factor.

Top 6 peaks for 2θ = 10–80°, by intensity:
2θ (°)	Rel. int.	h k l
33.77	100	1 1 0
23.70	56	1 0 0
60.40	37	2 1 1
54.67	24	2 1 0
48.50	18	2 0 0
41.67	17	1 1 1

a = 3.754 Å, b = 3.754 Å, c = 3.754 Å
α = 90.00°, β = 90.00°, γ = 90.00°
Fractional positions:
Pr1 0.000 0.000 0.000
Al1 0.500 0.500 0.500

(12)
Diffraction record for PrAl3. The powder X-ray diffraction pattern is computed, not measured: it uses DFT lattice parameters and positions (PBE) and CuKα.
Kinematic intensities with the Lorentz-polarization factor, no thermal factor.

Top 6 peaks for 2θ = 10–80°, by intensity:
2θ (°)	Rel. int.	h k l
35.50	100	1 1 1
20.27	80	1 0 0
28.82	68	1 1 0
41.22	49	2 0 0
71.42	38	3 1 1
46.35	38	2 1 0

a = 4.380 Å, b = 4.380 Å, c = 4.380 Å
α = 90.00°, β = 90.00°, γ = 90.00°
Fractional positions:
Pr1 0.000 0.000 0.000
Al1 0.000 0.500 0.500
Al2 0.500 0.000 0.500
Al3 0.500 0.500 0.000

Question: Number 9 is which compound?
Answer: Pr3Al